Record 1
This entry pairs a crystal structure of MgAg2 with its computed powder diffractogram. Radiation: a wavelength of 1.5418 Å. Structure: a DFT-relaxed cell (GGA-PBE, the Materials Project).

Peak list (10 most intense, 2θ = 10–80°, by angle)
| 2θ (°) | I (rel.) |
| --- | --- |
| 17.7 | 38.6 |
| 26.7 | 17.2 |
| 30.3 | 28.7 |
| 36.6 | 40.5 |
| 37.2 | 62.9 |
| 38.6 | 100.0 |
| 39.7 | 93.9 |
| 40.2 | 20.3 |
| 67.3 | 17.4 |
| 72.7 | 18.1 |

Cell and atoms:
```
MgAg2
1.0
5.298 -1.542 0.000
5.298 1.542 0.000
-2.274 0.000 6.738
Mg Ag
2 4
Direct
0.022 0.022 0.280
0.978 0.978 0.720
0.320 0.320 0.382
0.353 0.353 0.957
0.647 0.647 0.043
0.680 0.680 0.618
```

***

Record 2
This entry pairs a crystal structure of NaMg14BO15 with its computed powder diffractogram. Radiation: a wavelength of 1.5418 Å. Structure: a DFT-relaxed cell (GGA-PBE, the Materials Project).

Peak list (10 most intense, 2θ = 10–80°, by angle)
| 2θ (°) | I (rel.) |
| --- | --- |
| 36.5 | 37.4 |
| 41.5 | 97.0 |
| 41.8 | 100.0 |
| 43.8 | 73.6 |
| 60.3 | 54.4 |
| 62.0 | 43.3 |
| 62.1 | 44.8 |
| 72.8 | 8.0 |
| 75.7 | 9.6 |
| 77.5 | 40.2 |

Cell and atoms:
```
NaMg14BO15
1.0
4.325 0.000 0.000
0.000 8.262 0.000
0.000 0.000 8.702
Na Mg B O
1 14 1 15
Direct
0.000 0.000 0.000
0.000 0.000 0.499
0.000 0.248 0.746
0.000 0.258 0.252
0.000 0.500 0.495
0.000 0.742 0.252
0.000 0.752 0.746
0.500 0.000 0.244
0.500 0.000 0.753
0.500 0.250 0.500
0.500 0.259 0.997
0.500 0.500 0.237
0.500 0.500 0.754
0.500 0.741 0.997
0.500 0.750 0.500
0.000 0.500 0.936
0.000 0.000 0.259
0.000 0.000 0.741
0.000 0.253 0.505
0.000 0.328 0.988
0.000 0.500 0.270
0.000 0.672 0.988
0.000 0.747 0.505
0.500 0.000 0.499
0.500 0.000 0.998
0.500 0.251 0.751
0.500 0.252 0.244
0.500 0.500 0.511
0.500 0.500 0.988
0.500 0.748 0.244
0.500 0.749 0.751
```

***

Record 3
This entry pairs a crystal structure of MgTl2Fe2S4 with its computed powder diffractogram. Radiation: a wavelength of 1.5418 Å. Structure: a DFT-relaxed cell (GGA-PBE, the Materials Project).

Peak list (10 most intense, 2θ = 10–80°, by angle)
| 2θ (°) | I (rel.) |
| --- | --- |
| 21.5 | 74.7 |
| 23.5 | 29.3 |
| 25.7 | 43.7 |
| 27.6 | 35.9 |
| 29.9 | 24.7 |
| 30.2 | 100.0 |
| 35.7 | 26.4 |
| 37.1 | 26.5 |
| 40.1 | 47.5 |
| 44.8 | 26.9 |

Cell and atoms:
```
MgTl2Fe2S4
1.0
6.429 -2.461 0.000
6.429 2.461 0.000
-3.845 0.000 6.562
Mg Tl Fe S
1 2 2 4
Direct
0.000 0.000 0.000
0.156 0.156 0.804
0.798 0.798 0.522
0.184 0.694 0.262
0.694 0.184 0.262
0.108 0.108 0.380
0.421 0.421 0.997
0.470 0.470 0.518
0.771 0.771 0.133
```

***

Record 4
This entry pairs a crystal structure of MgNiS2 with its computed powder diffractogram. Radiation: a wavelength of 1.5418 Å. Structure: a DFT-relaxed cell (GGA-PBE, the Materials Project).

Peak list (10 most intense, 2θ = 10–80°, by angle)
| 2θ (°) | I (rel.) |
| --- | --- |
| 14.9 | 53.1 |
| 29.9 | 10.4 |
| 31.2 | 59.2 |
| 39.0 | 100.0 |
| 46.6 | 36.9 |
| 50.9 | 7.9 |
| 52.3 | 47.2 |
| 54.7 | 9.5 |
| 60.3 | 16.1 |
| 67.1 | 17.9 |

Cell and atoms:
```
MgNiS2
1.0
3.033 -1.748 0.000
3.033 1.748 0.000
-2.018 0.000 5.932
Mg Ni S
1 1 2
Direct
0.000 0.000 0.000
0.832 0.832 0.503
0.237 0.237 0.715
0.426 0.426 0.283
```

***

Record 5
This entry pairs a crystal structure of Gd5C6Cl3 with its computed powder diffractogram. Radiation: a wavelength of 1.5418 Å. Structure: a DFT-relaxed cell (GGA-PBE, the Materials Project).

Peak list (10 most intense, 2θ = 10–80°, by angle)
| 2θ (°) | I (rel.) |
| --- | --- |
| 11.7 | 23.3 |
| 27.2 | 33.4 |
| 27.7 | 32.3 |
| 28.1 | 73.4 |
| 29.5 | 71.2 |
| 33.5 | 100.0 |
| 44.9 | 35.8 |
| 45.5 | 34.3 |
| 51.4 | 18.8 |
| 58.0 | 19.1 |

Cell and atoms:
```
Gd5C6Cl3
1.0
10.863 -1.867 0.000
10.863 1.867 0.000
-8.403 0.000 12.864
Gd C Cl
10 12 6
Direct
0.006 0.006 0.114
0.007 0.007 0.396
0.328 0.328 0.120
0.333 0.333 0.891
0.336 0.336 0.360
0.664 0.664 0.640
0.667 0.667 0.109
0.672 0.672 0.880
0.993 0.993 0.604
0.994 0.994 0.886
0.124 0.124 0.727
0.124 0.124 0.961
0.197 0.197 0.018
0.197 0.197 0.777
0.463 0.463 0.473
0.463 0.463 0.970
0.537 0.537 0.030
0.537 0.537 0.527
0.803 0.803 0.223
0.803 0.803 0.982
0.876 0.876 0.039
0.876 0.876 0.273
0.169 0.169 0.509
0.172 0.172 0.253
0.470 0.470 0.727
0.530 0.530 0.273
0.828 0.828 0.747
0.831 0.831 0.491
```

***

Record 6
This entry pairs a crystal structure of BiBr3 with its computed powder diffractogram. Radiation: a wavelength of 1.5418 Å. Structure: a DFT-relaxed cell (GGA-PBE, the Materials Project).

Peak list (10 most intense, 2θ = 10–80°, by angle)
| 2θ (°) | I (rel.) |
| --- | --- |
| 12.8 | 100.0 |
| 17.3 | 18.6 |
| 20.7 | 31.7 |
| 26.2 | 28.2 |
| 28.3 | 18.5 |
| 29.2 | 38.0 |
| 29.4 | 24.7 |
| 29.9 | 59.1 |
| 30.7 | 38.4 |
| 39.6 | 18.1 |

Cell and atoms:
```
BiBr3
1.0
7.291 0.000 0.000
0.000 10.244 0.000
-2.585 0.000 7.854
Bi Br
4 12
Direct
0.029 0.184 0.165
0.029 0.316 0.665
0.971 0.684 0.335
0.971 0.816 0.835
0.203 0.559 0.689
0.203 0.941 0.189
0.213 0.592 0.168
0.213 0.908 0.668
0.317 0.249 0.961
0.317 0.251 0.461
0.683 0.749 0.539
0.683 0.751 0.039
0.787 0.092 0.332
0.787 0.408 0.832
0.797 0.059 0.811
0.797 0.441 0.311
```

***

> Which formula does entry 1 have?

MgAg2